[1]
Diffraction record for Pm2Pr12Th. The X-ray diffraction stick pattern is calculated, not measured: it uses the PBE geometry in Alexandria and Cu Kα (weighted mean of Kα1 and Kα2).
Lines closer than 0.1° are merged.

Crystal structure
Unit cell a=6.6571 b=6.6571 c=25.6566 alpha=90.00 beta=90.00 gamma=90.00
Fractional positions:
Pm: 0.2500 0.7500 0.2327
Pm: 0.2500 0.7500 0.7673
Pm: 0.7500 0.2500 0.2327
Pm: 0.7500 0.2500 0.7673
Pr: 0.0600 0.5600 0.3898
Pr: 0.0600 0.9400 0.6102
Pr: 0.0821 0.5821 0.0627
Pr: 0.0821 0.9179 0.9373
Pr: 0.2500 0.2500 0.1635
Pr: 0.2500 0.2500 0.2870
Pr: 0.2500 0.2500 0.7130
Pr: 0.2500 0.2500 0.8365
Pr: 0.4179 0.5821 0.9373
Pr: 0.4179 0.9179 0.0627
Pr: 0.4400 0.5600 0.6102
Pr: 0.4400 0.9400 0.3898
Pr: 0.5600 0.0600 0.6102
Pr: 0.5600 0.4400 0.3898
Pr: 0.5821 0.0821 0.9373
Pr: 0.5821 0.4179 0.0627
Pr: 0.7500 0.7500 0.1635
Pr: 0.7500 0.7500 0.2870
Pr: 0.7500 0.7500 0.7130
Pr: 0.7500 0.7500 0.8365
Pr: 0.9179 0.0821 0.0627
Pr: 0.9179 0.4179 0.9373
Pr: 0.9400 0.0600 0.3898
Pr: 0.9400 0.4400 0.6102
Th: 0.2500 0.7500 0.5000
Th: 0.7500 0.2500 0.5000

Principal peaks in the range 2θ = 15–90°, by intensity:
| 2θ (°) | d_spacing | intensity |
| --- | --- | --- |
| 30.24 | 2.955 | 100.0 |
| 30.92 | 2.892 | 90.6 |
| 31.83 | 2.812 | 80.2 |
| 27.69 | 3.222 | 61.9 |
| 38.24 | 2.354 | 57.6 |
| 28.78 | 3.102 | 55.3 |

=====

[2]
Diffraction record for Pm3Pr5Th2. The X-ray diffraction stick pattern is calculated, not measured: it uses the PBE geometry in Alexandria and Cu Kα (weighted mean of Kα1 and Kα2).
Lines closer than 0.1° are merged.

Crystal structure
Unit cell a=9.2213 b=9.2213 c=10.2208 alpha=109.56 beta=109.56 gamma=104.85
Fractional positions:
Pm: 0.0243 0.2746 0.0513
Pm: 0.2362 0.7638 0.7500
Pm: 0.2746 0.0243 0.5513
Pm: 0.7254 0.9757 0.4487
Pm: 0.7638 0.2362 0.2500
Pm: 0.9757 0.7254 0.9487
Pr: 0.0256 0.9744 0.7500
Pr: 0.1246 0.3768 0.7512
Pr: 0.2764 0.7236 0.2500
Pr: 0.3768 0.1246 0.2512
Pr: 0.4875 0.5125 0.2500
Pr: 0.5125 0.4875 0.7500
Pr: 0.6232 0.8754 0.7488
Pr: 0.7236 0.2764 0.7500
Pr: 0.8754 0.6232 0.2488
Pr: 0.9744 0.0256 0.2500
Th: 0.2171 0.4691 0.4393
Th: 0.4691 0.2171 0.9393
Th: 0.5309 0.7829 0.0607
Th: 0.7829 0.5309 0.5607

Principal peaks in the range 2θ = 15–90°, by intensity:
| 2θ (°) | d_spacing | intensity |
| --- | --- | --- |
| 28.96 | 3.084 | 100.0 |
| 31.01 | 2.884 | 94.7 |
| 31.83 | 2.811 | 51.9 |
| 35.34 | 2.540 | 27.1 |
| 62.22 | 1.492 | 27.0 |
| 32.24 | 2.777 | 23.5 |

=====

[3]
Diffraction record for Pm2Pr3Th. The X-ray diffraction stick pattern is calculated, not measured: it uses the PBE geometry in Alexandria and Cu Kα (weighted mean of Kα1 and Kα2).
Lines closer than 0.1° are merged.

Crystal structure
Unit cell a=8.2510 b=8.2510 c=6.6405 alpha=90.00 beta=90.00 gamma=108.78
Fractional positions:
Pm: 0.0009 0.3656 0.0000
Pm: 0.3656 0.0009 0.5000
Pm: 0.6344 0.9991 0.0000
Pm: 0.9991 0.6344 0.5000
Pr: 0.1055 0.2532 0.5170
Pr: 0.2532 0.1055 0.0170
Pr: 0.4134 0.5866 0.2748
Pr: 0.5866 0.4134 0.7748
Pr: 0.7468 0.8945 0.5170
Pr: 0.8945 0.7468 0.0170
Th: 0.3290 0.6710 0.7931
Th: 0.6710 0.3290 0.2931

Principal peaks in the range 2θ = 15–90°, by intensity:
| 2θ (°) | d_spacing | intensity |
| --- | --- | --- |
| 29.84 | 2.994 | 100.0 |
| 32.79 | 2.731 | 84.9 |
| 28.65 | 3.115 | 79.8 |
| 29.23 | 3.056 | 63.1 |
| 35.32 | 2.541 | 51.6 |
| 37.09 | 2.424 | 37.0 |